Diffraction record for MgV2NiTe2O10. The PXRD pattern is calculated, not measured: it uses the GGA+U geometry in the Materials Project and Cu Kα (λ = 1.5418 Å).
Peak positions follow from Bragg's law for the DFT cell and can differ from measured ones.

Structural model:
Lattice parameters (Å, degrees): 5.1466 6.4255 6.5711 82.20 78.27 66.89
Atoms (fractional coordinates):
Mg 0.0000 0.0000 0.0000
V 0.3203 0.0914 0.6555
V 0.7511 0.2892 0.4607
Ni 0.9997 0.6849 0.6045
Te 0.4991 0.8994 0.1965
Te 0.5328 0.4732 0.9379
O 0.1911 0.1070 0.3884
O 0.2237 0.8358 0.7382
O 0.2473 0.7436 0.1946
O 0.3362 0.3840 0.5984
O 0.3414 0.1022 0.9643
O 0.7019 0.2579 0.1685
O 0.7077 0.9866 0.5326
O 0.7683 0.6477 0.9168
O 0.7760 0.5539 0.4357
O 0.8517 0.2470 0.7580

Main lines, low angle first (10° ≤ 2θ ≤ 80°):
2θ/deg	d (Å)	I/Imax
19.01	4.669	57
21.07	4.216	42
21.61	4.112	35
25.37	3.511	48
26.10	3.414	46
29.10	3.069	67
30.42	2.939	64
30.81	2.902	100
32.60	2.747	85
38.74	2.324	45
41.82	2.160	25
47.00	1.933	22